# 1
Computed X-ray powder pattern of Ho2Er3Se6 for Cu Kα (λ = 1.5418 Å), from DFT lattice parameters and positions (GGA-PBE).
Peak positions follow from Bragg's law for the DFT cell and can differ from measured ones.

Main lines, low angle first (5 to 70 degrees two-theta):
d_spacing	2θ/deg	I/Imax	(hkl)
5.784	15.3	5	1 1 0
5.154	17.2	5	1 1 -1
3.298	27.0	5	2 0 0
3.284	27.2	10	0 0 2
2.847	31.4	100	1 3 1
2.016	45.0	37	2 0 2
2.010	45.1	37	0 6 0
1.648	55.8	7	4 0 0
1.642	56.0	19	0 0 4
1.422	65.6	8	2 6 2

Structural model:
a b c (Å): 6.994 12.054 6.968
angles (deg): 90.00 109.51 90.00
Space group C2/m (No. 12)
Asymmetric unit:
Ho: 0.000 0.165 0.000 x4
Er: 0.000 0.000 0.500 x2
Er: 0.000 0.334 0.500 x4
Se: 0.245 0.500 0.754 x4
Se: 0.247 0.336 0.249 x8

=====

# 2
Computed X-ray powder pattern of CaTa2O for Cu Kα (λ = 1.5418 Å), from DFT lattice parameters and positions (GGA-PBE).
Peak positions follow from Bragg's law for the DFT cell and can differ from measured ones.

Main lines, low angle first (5 to 70 degrees two-theta):
d_spacing	2θ/deg	I/Imax	(hkl)
5.228	17.0	100	1 0 1
2.730	32.8	91	2 1 1
2.614	34.3	89	2 0 2
2.262	39.9	21	2 2 0
2.078	43.6	28	3 0 1
1.744	52.5	16	3 0 3
1.742	52.5	16	3 2 1
1.601	57.6	40	4 0 0
1.531	60.5	14	3 2 3
1.364	68.8	24	4 2 2

Structural model:
a b c (Å): 6.398 6.398 9.071
angles (deg): 90.00 90.00 90.00
Space group I4_1/amd (No. 141, origin choice 2)
Asymmetric unit:
Ca: 0.000 0.250 0.375 x4
Ta: 0.000 0.000 0.000 x8
O: 0.000 0.250 0.875 x4